No. 1
Diffraction record for LiFeSi2O6. The powder XRD pattern is calculated, not measured: it uses DFT lattice parameters and positions (PBE+U) and Cu Kα (λ = 1.5418 Å).
Neutral-atom scattering factors, no anomalous dispersion.

Peak list (10 most intense, 2θ = 10–80°, low angle first)
13.94°, I 53.0
19.77°, I 34.6
20.18°, I 28.6
25.17°, I 37.5
29.47°, I 100.0
30.96°, I 63.8
35.90°, I 31.9
37.00°, I 24.7
42.16°, I 18.7
55.76°, I 19.0

Structural model:
a = 9.374 Å, b = 8.802 Å, c = 5.335 Å
α = 90.00°, β = 101.93°, γ = 90.00°
Space group P2_1/c (No. 14)
Symmetry-distinct sites (fractional):
Li  0.248  0.003  0.009
Fe  0.250  0.647  0.012
Si  0.048  0.161  0.271
Si  0.453  0.161  0.709
O  0.107  0.234  0.026
O  0.118  0.507  0.802
O  0.133  0.666  0.294
O  0.366  0.664  0.728
O  0.378  0.503  0.229
O  0.397  0.229  0.419


No. 2
Diffraction record for Li4Fe3Si3O12. The powder XRD pattern is calculated, not measured: it uses DFT lattice parameters and positions (PBE+U) and Cu Kα (λ = 1.5418 Å).
Neutral-atom scattering factors, no anomalous dispersion.

Peak list (10 most intense, 2θ = 10–80°, low angle first)
19.44°, I 100.0
29.08°, I 50.4
35.20°, I 82.6
35.28°, I 26.6
46.43°, I 8.3
49.74°, I 15.8
58.47°, I 8.8
58.70°, I 17.1
60.27°, I 15.9
63.94°, I 8.5

Structural model:
a = 4.358 Å, b = 5.500 Å, c = 11.937 Å
α = 88.23°, β = 79.60°, γ = 66.80°
Space group P1 (No. 1)
Symmetry-distinct sites (fractional):
Li  0.000  0.000  0.000
Li  0.001  0.320  0.669
Li  0.487  0.830  0.176
Li  0.496  0.500  0.496
Fe  0.742  0.253  0.256
Fe  0.749  0.910  0.584
Fe  0.751  0.573  0.915
Si  0.240  0.083  0.420
Si  0.246  0.741  0.750
Si  0.255  0.411  0.082
O  0.108  0.504  0.782
O  0.139  0.829  0.470
O  0.152  0.157  0.114
O  0.358  0.828  0.862
O  0.361  0.532  0.184
O  0.369  0.180  0.532
O  0.545  0.983  0.310
O  0.581  0.638  0.642
O  0.590  0.312  0.973
O  0.902  0.326  0.395
O  0.925  0.661  0.038
O  0.936  0.993  0.706


No. 3
Diffraction record for Li2FeSiO4. The powder XRD pattern is calculated, not measured: it uses DFT lattice parameters and positions (PBE+U) and Cu Kα (λ = 1.5418 Å).
Neutral-atom scattering factors, no anomalous dispersion.

Peak list (10 most intense, 2θ = 10–80°, low angle first)
16.25°, I 36.0
21.50°, I 84.3
22.51°, I 100.0
23.94°, I 61.7
32.66°, I 42.7
32.84°, I 86.8
35.36°, I 77.0
37.43°, I 61.6
58.39°, I 50.1
64.84°, I 39.4

Structural model:
a = 10.968 Å, b = 6.288 Å, c = 5.077 Å
α = 90.00°, β = 90.00°, γ = 90.00°
Space group Pna2_1 (No. 33)
Symmetry-distinct sites (fractional):
Li  0.089  0.246  0.000
Li  0.173  0.501  0.500
Fe  0.083  0.750  0.999
Si  0.166  0.000  0.506
O  0.093  0.781  0.405
O  0.094  0.217  0.400
O  0.167  0.002  0.830
O  0.191  0.502  0.898